# 1
Simulated XRD peak list of Ba4AgPtBr2 for Cu Kα (λ = 1.5418 Å), from DFT lattice parameters and positions (PBE).
No peak broadening, texture or thermal motion is included.

The 6 most intense peaks (2θ from 10° to 90°), in order of rising 2θ:
2θ (°)	I_rel	(hkl)
10.5	16.2	0 0 1
26.2	100.0	1 1 1
36.0	12.8	2 0 2
36.1	25.6	1 1 -3
38.7	24.3	3 1 -1
47.5	13.0	2 2 -2

Atomic structure:
Cell: 8.0654 4.6399 8.8505 Å, 90.00 107.40 90.00°
Space group P2/m (No. 10)
One atom of each set of equivalent atoms:
Ba1 0.2258 0.0000 0.2147 (multiplicity 2)
Ba2 0.2449 0.5000 0.7783 (multiplicity 2)
Ag1 0.5000 0.0000 0.0000 (multiplicity 1)
Pt1 0.0000 0.5000 0.0000 (multiplicity 1)
Br1 0.0000 0.0000 0.5000 (multiplicity 1)
Br2 0.5000 0.5000 0.5000 (multiplicity 1)

=====

# 2
Simulated XRD peak list of PrH12Pt4 for Cu Kα (λ = 1.5418 Å), from DFT lattice parameters and positions (PBE).
No peak broadening, texture or thermal motion is included.

The 6 most intense peaks (2θ from 10° to 90°), in order of rising 2θ:
2θ (°)	I_rel	(hkl)
25.1	60.5	2 0 0
35.8	100.0	2 2 0
44.2	17.1	2 2 2
51.5	18.6	4 0 0
58.1	24.5	4 2 0
64.3	37.3	4 2 2

Atomic structure:
Cell: 7.1021 7.1021 7.1021 Å, 90.00 90.00 90.00°
Space group Im-3 (No. 204)
One atom of each set of equivalent atoms:
Pr1 0.0000 0.0000 0.0000 (multiplicity 2)
H1 0.0000 0.2562 0.2592 (multiplicity 24)
Pt1 0.2500 0.2500 0.2500 (multiplicity 8)

=====

# 3
Simulated XRD peak list of PrRe2N6 for Cu Kα (λ = 1.5418 Å), from DFT lattice parameters and positions (PBE).
No peak broadening, texture or thermal motion is included.

The 6 most intense peaks (2θ from 10° to 90°), in order of rising 2θ:
2θ (°)	I_rel	(hkl)
29.2	100.0	3 1 1
30.5	48.3	2 2 2
46.5	34.4	3 3 3
50.9	38.9	4 4 0
60.5	21.2	6 2 2
71.4	24.2	7 3 1

Atomic structure:
Cell: 10.1450 10.1450 10.1450 Å, 90.00 90.00 90.00°
Space group Fd-3m (No. 227, origin choice 2)
One atom of each set of equivalent atoms:
Pr1 0.1250 0.1250 0.1250 (multiplicity 8)
Re1 0.0000 0.0000 0.5000 (multiplicity 16)
N1 0.0748 0.3750 0.8750 (multiplicity 48)